Computed powder XRD pattern of NiCSe2 for copper Kα, from DFT lattice parameters and positions (PBE).
Intensities are scaled so that the largest is 100.

Structural model:
Lattice parameters (Å, degrees): 6.3088 6.3088 6.3088 34.96 34.96 34.96
Fractional coordinates of all 4 atoms:
Ni 0.0000 0.0000 0.0000
C 0.5000 0.5000 0.5000
Se 0.4012 0.4012 0.4012
Se 0.5988 0.5988 0.5988

Largest 10 diffraction maxima, by angle, 5° ≤ 2θ ≤ 70°:
two_theta	I (rel.)
14.97	69
27.64	28
29.00	71
37.31	100
45.18	16
48.01	57
49.59	12
50.57	18
59.17	29
62.33	22



Computed powder XRD pattern of SmNiC for copper Kα, from DFT lattice parameters and positions (PBE).
Intensities are scaled so that the largest is 100.

Structural model:
Lattice parameters (Å, degrees): 3.8067 3.8864 6.7786 102.01 105.95 90.91
Fractional coordinates of all 6 atoms:
Sm 0.1235 0.4031 0.2390
Sm 0.8765 0.5969 0.7610
Ni 0.3079 0.0372 0.6197
Ni 0.6921 0.9628 0.3803
C 0.4635 0.0723 0.9152
C 0.5365 0.9277 0.0848

Largest 10 diffraction maxima, by angle, 5° ≤ 2θ ≤ 70°:
two_theta	I (rel.)
24.41	70
28.08	87
30.00	55
32.52	73
34.99	100
35.45	94
36.43	85
36.98	81
42.72	57
47.79	53



Computed powder XRD pattern of SrNi2C2 for copper Kα, from DFT lattice parameters and positions (PBE).
Intensities are scaled so that the largest is 100.

Structural model:
Lattice parameters (Å, degrees): 5.4886 5.4886 7.1660 90.00 90.00 140.03
Fractional coordinates of all 10 atoms:
Sr 0.0545 0.9455 0.7500
Sr 0.9455 0.0545 0.2500
Ni 0.3128 0.6872 0.5685
Ni 0.3128 0.6872 0.9315
Ni 0.6872 0.3128 0.0685
Ni 0.6872 0.3128 0.4315
C 0.2033 0.7967 0.1534
C 0.2033 0.7967 0.3466
C 0.7967 0.2033 0.6534
C 0.7967 0.2033 0.8466

Largest 10 diffraction maxima, by angle, 5° ≤ 2θ ≤ 70°:
two_theta	I (rel.)
28.21	52
30.37	83
35.41	83
35.73	100
37.05	80
37.64	27
41.67	50
48.54	41
52.65	33
62.59	31



Computed powder XRD pattern of Sr2NiC2 for copper Kα, from DFT lattice parameters and positions (PBE).
Intensities are scaled so that the largest is 100.

Structural model:
Lattice parameters (Å, degrees): 7.3536 7.3536 3.5291 90.00 90.00 90.00
Fractional coordinates of all 10 atoms:
Sr 0.2223 0.2777 0.0000
Sr 0.2777 0.7777 0.0000
Sr 0.7223 0.2223 0.0000
Sr 0.7777 0.7223 0.0000
Ni 0.0000 0.0000 0.5000
Ni 0.5000 0.5000 0.5000
C 0.0615 0.5615 0.5000
C 0.4385 0.0615 0.5000
C 0.5615 0.9385 0.5000
C 0.9385 0.4385 0.5000

Largest 10 diffraction maxima, by angle, 5° ≤ 2θ ≤ 70°:
two_theta	I (rel.)
24.21	15
27.11	9
34.50	47
35.25	100
37.38	12
49.59	12
51.81	11
57.95	12
62.29	22
63.74	15



Computed powder XRD pattern of Sr2ZnNiC for copper Kα, from DFT lattice parameters and positions (PBE).
Intensities are scaled so that the largest is 100.

Structural model:
Lattice parameters (Å, degrees): 5.5215 5.5215 3.6665 90.00 90.00 90.00
Fractional coordinates of all 5 atoms:
Sr 0.0000 0.5000 0.0000
Sr 0.5000 0.0000 0.0000
Zn 0.0000 0.0000 0.5000
Ni 0.5000 0.5000 0.5000
C 0.5000 0.5000 0.0000

Largest 10 diffraction maxima, by angle, 5° ≤ 2θ ≤ 70°:
two_theta	I (rel.)
22.78	1
24.28	2
32.43	63
33.53	100
40.92	2
46.52	22
49.74	9
58.55	39
60.64	19
67.90	7



Computed powder XRD pattern of Ta2Ti2Ni2C for copper Kα, from DFT lattice parameters and positions (PBE).
Intensities are scaled so that the largest is 100.

Structural model:
Lattice parameters (Å, degrees): 8.1541 8.1541 8.1541 119.80 119.80 90.34
Fractional coordinates of all 28 atoms:
Ta 0.1841 0.1841 0.0000
Ta 0.5654 0.0654 0.5000
Ta 0.5674 0.0674 0.1347
Ta 0.5674 0.4326 0.5000
Ta 0.8159 0.8159 0.0000
Ta 0.9326 0.0674 0.5000
Ta 0.9326 0.4326 0.8653
Ta 0.9346 0.4346 0.5000
Ti 0.1841 0.1841 0.3682
Ti 0.1841 0.8159 0.0000
Ti 0.3730 0.1222 0.7492
Ti 0.3730 0.6238 0.2508
Ti 0.3762 0.6270 0.7492
Ti 0.8159 0.1841 0.0000
Ti 0.8159 0.8159 0.6318
Ti 0.8778 0.6270 0.2508
Ni 0.1613 0.4883 0.3270
Ni 0.1613 0.8343 0.6730
Ni 0.1657 0.8387 0.3270
Ni 0.2596 0.4202 0.8395
Ni 0.5117 0.8387 0.6730
Ni 0.5798 0.4193 0.8395
Ni 0.5798 0.7404 0.1605
Ni 0.5807 0.4202 0.1605
C 0.3712 0.1220 0.2491
C 0.8729 0.1220 0.7509
C 0.8780 0.1271 0.2491
C 0.8780 0.6288 0.7509

Largest 10 diffraction maxima, by angle, 5° ≤ 2θ ≤ 70°:
two_theta	I (rel.)
13.29	23
15.41	17
26.75	10
33.86	34
38.16	48
38.28	15
40.58	100
40.76	29
68.90	27
69.12	18



Computed powder XRD pattern of Tb2NiC4 for copper Kα, from DFT lattice parameters and positions (PBE).
Intensities are scaled so that the largest is 100.

Structural model:
Lattice parameters (Å, degrees): 6.6491 6.6491 6.6491 111.94 85.40 134.96
Fractional coordinates of all 14 atoms:
Tb 0.1433 0.1662 0.3095
Tb 0.3567 0.6662 0.0229
Tb 0.6433 0.3338 0.9771
Tb 0.8567 0.8338 0.6905
Ni 0.2500 0.7500 0.5000
Ni 0.7500 0.2500 0.5000
C 0.0844 0.6726 0.7570
C 0.1261 0.8447 0.9707
C 0.3739 0.3447 0.7186
C 0.4156 0.1726 0.5882
C 0.5844 0.8274 0.4118
C 0.6261 0.6553 0.2814
C 0.8739 0.1553 0.0293
C 0.9156 0.3274 0.2430

Largest 10 diffraction maxima, by angle, 5° ≤ 2θ ≤ 70°:
two_theta	I (rel.)
28.00	100
29.94	39
31.14	64
35.24	22
37.40	30
38.48	22
43.04	17
51.86	24
56.14	17
59.23	30



Computed powder XRD pattern of Tc4NiC for copper Kα, from DFT lattice parameters and positions (PBE).
Intensities are scaled so that the largest is 100.

Structural model:
Lattice parameters (Å, degrees): 5.3473 5.3986 5.6257 90.00 101.14 90.00
Fractional coordinates of all 12 atoms:
Tc 0.1027 0.1439 0.1798
Tc 0.1027 0.3561 0.6798
Tc 0.3532 0.6208 0.0930
Tc 0.3532 0.8792 0.5930
Tc 0.6468 0.1208 0.4070
Tc 0.6468 0.3792 0.9070
Tc 0.8973 0.6439 0.3202
Tc 0.8973 0.8561 0.8202
Ni 0.5000 0.0000 0.0000
Ni 0.5000 0.5000 0.5000
C 0.0000 0.0000 0.5000
C 0.0000 0.5000 0.0000

Largest 10 diffraction maxima, by angle, 5° ≤ 2θ ≤ 70°:
two_theta	I (rel.)
37.07	100
37.66	89
38.14	91
38.81	88
39.73	99
42.37	55
52.23	45
55.49	22
61.05	21
66.73	19